Record 1
Computed X-ray powder pattern
Compound: SmMnB
Radiation: λ = 1.5418 Å (Cu Kα)
Structure: a DFT-relaxed cell (PBE, Alexandria)

Peak list (10 most intense, 15 to 90 degrees two-theta, by angle)
(hkl)	2θ/deg	I/Imax
1 0 1	27.5	100
0 0 3	32.4	28
1 0 2	33.4	35
1 1 1	37.7	24
1 1 2	42.3	52
1 0 4	51.1	22
2 0 0	52.0	21
2 1 1	59.8	23
2 0 3	62.5	17
1 1 5	67.9	18

Structure:
Cell lengths 3.520, 3.520, 8.299 Å; angles 90.00, 90.00, 90.00 degrees
Space group P4/nmm (No. 129, origin choice 2)
Inequivalent atoms, fractional coordinates:
Sm 0.250 0.250 0.196 (multiplicity 2)
Mn 0.250 0.750 0.500 (multiplicity 2)
B 0.250 0.250 0.640 (multiplicity 2)

Record 2
Computed X-ray powder pattern
Compound: SrMnB14
Radiation: λ = 1.5418 Å (Cu Kα)
Structure: a DFT-relaxed cell (PBE, Alexandria)

Peak list (10 most intense, 15 to 90 degrees two-theta, by angle)
(hkl)	2θ/deg	I/Imax
0 2 0	16.4	87
1 2 1	24.8	61
1 1 2	27.4	60
0 4 0	33.1	52
2 1 1	33.3	88
1 3 2	36.2	55
1 2 3	39.4	46
0 3 3	40.9	34
2 3 1	41.0	100
2 0 4	53.7	46

Structure:
Cell lengths 5.890, 10.814, 8.375 Å; angles 90.00, 90.00, 90.00 degrees
Space group Imma (No. 74)
Inequivalent atoms, fractional coordinates:
Sr 0.000 0.250 0.136 (multiplicity 4)
Mn 0.250 0.250 0.750 (multiplicity 4)
B 0.000 0.084 0.667 (multiplicity 8)
B 0.000 0.129 0.868 (multiplicity 8)
B 0.000 0.165 0.470 (multiplicity 8)
B 0.159 0.058 0.340 (multiplicity 16)
B 0.248 0.077 0.547 (multiplicity 16)